The following is a calculated PXRD pattern of Na3BP2O8. It was derived from the PBE geometry in the Materials Project, using a wavelength of 1.5418 Å.
Neutral-atom scattering factors, no anomalous dispersion.

Main lines, sorted by position (10° ≤ 2θ ≤ 80°):
2θ 17.17, d 5.165, intensity 58; 2θ 23.95, d 3.716, intensity 63; 2θ 24.59, d 3.620, intensity 39; 2θ 28.11, d 3.175, intensity 79; 2θ 31.16, d 2.871, intensity 100; 2θ 32.49, d 2.756, intensity 70; 2θ 34.50, d 2.599, intensity 61; 2θ 41.67, d 2.168, intensity 34

Crystal structure
Unit cell a=12.7106 b=10.3988 c=10.3379 alpha=90.00 beta=92.37 gamma=90.00
Space group C2/c (No. 15)
Asymmetric unit:
Na  0.0000  0.0421  0.2500 [4 per cell]
Na  0.0000  0.3472  0.7500 [4 per cell]
Na  0.0886  0.3851  0.3800 [8 per cell]
Na  0.2468  0.3897  0.7318 [8 per cell]
B  0.1335  0.1116  0.9986 [8 per cell]
P  0.0862  0.1409  0.5422 [8 per cell]
P  0.1605  0.3706  0.0613 [8 per cell]
O  0.0346  0.1242  0.9199 [8 per cell]
O  0.0963  0.1609  0.3974 [8 per cell]
O  0.0992  0.4407  0.1632 [8 per cell]
O  0.1293  0.4021  0.9216 [8 per cell]
O  0.1328  0.2466  0.6263 [8 per cell]
O  0.1342  0.0043  0.5869 [8 per cell]
O  0.1502  0.2200  0.0896 [8 per cell]
O  0.2185  0.0975  0.9066 [8 per cell]

The following is a calculated PXRD pattern of Na3BP4PbO16. It was derived from the PBE geometry in the Materials Project, using a wavelength of 1.5418 Å.
Neutral-atom scattering factors, no anomalous dispersion.

Main lines, sorted by position (10° ≤ 2θ ≤ 80°):
2θ 12.71, d 6.964, intensity 60; 2θ 13.01, d 6.803, intensity 98; 2θ 15.82, d 5.601, intensity 61; 2θ 17.88, d 4.961, intensity 43; 2θ 25.39, d 3.508, intensity 62; 2θ 25.60, d 3.480, intensity 73; 2θ 28.63, d 3.118, intensity 100; 2θ 30.03, d 2.976, intensity 36

Crystal structure
Unit cell a=7.0120 b=7.0189 c=14.7558 alpha=76.40 beta=76.57 gamma=89.93
Space group P1 (No. 1)
Asymmetric unit:
Na  0.0000  0.0000  0.0000 [1 per cell]
Na  0.0631  0.4011  0.2719 [1 per cell]
Na  0.1922  0.7360  0.7709 [1 per cell]
Na  0.3492  0.8606  0.2726 [1 per cell]
Na  0.7322  0.0224  0.7726 [1 per cell]
Na  0.8611  0.6667  0.4977 [1 per cell]
B  0.4035  0.3184  0.8861 [1 per cell]
B  0.6559  0.0677  0.3860 [1 per cell]
P  0.1653  0.4945  0.0153 [1 per cell]
P  0.2265  0.2103  0.7597 [1 per cell]
P  0.3511  0.8322  0.5149 [1 per cell]
P  0.5091  0.0139  0.0168 [1 per cell]
P  0.5439  0.3711  0.2602 [1 per cell]
P  0.7040  0.5555  0.7598 [1 per cell]
P  0.8302  0.1752  0.5174 [1 per cell]
P  0.8924  0.8963  0.2583 [1 per cell]
Pb  0.3256  0.3741  0.5030 [1 per cell]
Pb  0.7082  0.5331  0.0019 [1 per cell]
O  0.0096  0.3200  0.4630 [1 per cell]
O  0.0238  0.3151  0.0357 [1 per cell]
O  0.0306  0.0787  0.2388 [1 per cell]
O  0.0525  0.0636  0.8145 [1 per cell]
O  0.0705  0.6746  0.9649 [1 per cell]
O  0.1875  0.3498  0.6694 [1 per cell]
O  0.2170  0.5254  0.1065 [1 per cell]
O  0.2216  0.7380  0.4638 [1 per cell]
O  0.2293  0.8851  0.6054 [1 per cell]
O  0.2599  0.3483  0.8265 [1 per cell]
O  0.3704  0.4673  0.9448 [1 per cell]
O  0.3757  0.1166  0.9476 [1 per cell]
O  0.3769  0.8879  0.1084 [1 per cell]
O  0.3990  0.4933  0.3165 [1 per cell]
O  0.4052  0.0873  0.7374 [1 per cell]
O  0.4234  0.2174  0.2355 [1 per cell]
O  0.4495  0.0361  0.4446 [1 per cell]
O  0.5104  0.6906  0.5363 [1 per cell]
O  0.5449  0.6967  0.7374 [1 per cell]
O  0.6086  0.3489  0.8273 [1 per cell]
O  0.6277  0.1705  0.0423 [1 per cell]
O  0.6484  0.2949  0.5419 [1 per cell]
O  0.6521  0.8888  0.9612 [1 per cell]
O  0.6795  0.5038  0.1703 [1 per cell]
O  0.6821  0.2734  0.3277 [1 per cell]
O  0.6857  0.9252  0.3263 [1 per cell]
O  0.7979  0.0421  0.4479 [1 per cell]
O  0.8241  0.5238  0.6646 [1 per cell]
O  0.8316  0.6385  0.8157 [1 per cell]
O  0.8539  0.8728  0.1636 [1 per cell]
O  0.8650  0.0435  0.6095 [1 per cell]
O  0.9790  0.7157  0.3110 [1 per cell]

The following is a calculated PXRD pattern of Na3BSbPO7. It was derived from the PBE geometry in the Materials Project, using a wavelength of 1.5418 Å.
Neutral-atom scattering factors, no anomalous dispersion.

Main lines, sorted by position (10° ≤ 2θ ≤ 80°):
2θ 15.91, d 5.569, intensity 78; 2θ 18.40, d 4.822, intensity 62; 2θ 20.68, d 4.296, intensity 46; 2θ 25.63, d 3.476, intensity 100; 2θ 25.77, d 3.456, intensity 52; 2θ 31.74, d 2.819, intensity 61; 2θ 32.26, d 2.775, intensity 60; 2θ 32.78, d 2.732, intensity 66

Crystal structure
Unit cell a=5.4720 b=6.9512 c=9.3185 alpha=90.00 beta=92.94 gamma=90.00
Space group P2_1/m (No. 11)
Asymmetric unit:
Na  0.2405  0.2500  0.4298 [2 per cell]
Na  0.2493  0.5080  0.7482 [4 per cell]
B  0.2640  0.7500  0.4337 [2 per cell]
Sb  0.2220  0.7500  0.1546 [2 per cell]
P  0.2807  0.2500  0.1000 [2 per cell]
O  0.0404  0.7500  0.3457 [2 per cell]
O  0.1773  0.0737  0.1836 [4 per cell]
O  0.1878  0.2500  0.9375 [2 per cell]
O  0.2699  0.7500  0.5767 [2 per cell]
O  0.4394  0.7500  0.8904 [2 per cell]
O  0.4709  0.7500  0.3483 [2 per cell]

The following is a calculated PXRD pattern of Na2SnBPO7. It was derived from the PBE geometry in the Materials Project, using a wavelength of 1.5418 Å.
Neutral-atom scattering factors, no anomalous dispersion.

Main lines, sorted by position (10° ≤ 2θ ≤ 80°):
2θ 16.14, d 5.491, intensity 100; 2θ 21.02, d 4.226, intensity 42; 2θ 24.65, d 3.611, intensity 64; 2θ 25.52, d 3.490, intensity 35; 2θ 26.35, d 3.383, intensity 40; 2θ 32.48, d 2.757, intensity 33; 2θ 32.81, d 2.730, intensity 28; 2θ 33.10, d 2.706, intensity 29

Crystal structure
Unit cell a=5.4158 b=6.7652 c=9.4069 alpha=90.00 beta=91.98 gamma=90.00
Space group P2_1/m (No. 11)
Asymmetric unit:
Na  0.2351  0.0082  0.3092 [4 per cell]
Sn  0.2264  0.7500  0.8441 [2 per cell]
B  0.2760  0.7500  0.5763 [2 per cell]
P  0.2732  0.2500  0.9338 [2 per cell]
O  0.0467  0.7500  0.6474 [2 per cell]
O  0.1371  0.2500  0.0772 [2 per cell]
O  0.2033  0.0658  0.8444 [4 per cell]
O  0.3067  0.7500  0.4382 [2 per cell]
O  0.4397  0.7500  0.0322 [2 per cell]
O  0.4734  0.7500  0.6847 [2 per cell]